Entry 1:
Starting from a crystal structure in the Materials Project, relaxed with PBE+U, the XRD peak list of Li2Mn3CoO8 was computed for Cu Kα X-rays.
Peak positions follow from Bragg's law for the DFT cell and can differ from measured ones.

Structural model:
```
data_Li2Mn3CoO8
_cell_length_a 5.8052
_cell_length_b 5.8052
_cell_length_c 5.7965
_cell_angle_alpha 117.65
_cell_angle_beta 117.65
_cell_angle_gamma 60.21
_space_group_name_H-M_alt 'P 1'
_space_group_IT_number 1
_space_group_name_Hall 'P 1'
loop_
_atom_site_label
_atom_site_fract_x
_atom_site_fract_y
_atom_site_fract_z
Li1 0.1153 0.1153 0.3662
Li2 0.8847 0.8847 0.6338
Mn1 0.0000 0.5000 0.0000
Mn2 0.5000 0.0000 0.0000
Mn3 0.5000 0.5000 0.5000
Co1 0.5000 0.5000 0.0000
O1 0.2419 0.2419 0.2093
O2 0.2549 0.7029 0.2288
O3 0.2687 0.2687 0.7925
O4 0.2971 0.7451 0.7712
O5 0.7029 0.2549 0.2288
O6 0.7313 0.7313 0.2075
O7 0.7451 0.2971 0.7712
O8 0.7581 0.7581 0.7907
```

Peak list (10 most intense, 10° ≤ 2θ ≤ 80°, in order of rising 2θ)
2θ (°)	Rel. int.
18.1	66
18.5	100
19.0	41
35.3	20
36.3	18
36.7	22
42.7	39
44.1	72
61.8	23
64.2	21

Entry 2:
Starting from a crystal structure in the Materials Project, relaxed with PBE+U, the XRD peak list of Li5Mn2CoO8 was computed for Cu Kα X-rays.
Peak positions follow from Bragg's law for the DFT cell and can differ from measured ones.

Structural model:
```
data_Li5Mn2CoO8
_cell_length_a 2.8882
_cell_length_b 9.7669
_cell_length_c 10.4785
_cell_angle_alpha 73.12
_cell_angle_beta 82.31
_cell_angle_gamma 89.62
_space_group_name_H-M_alt 'P 1'
_space_group_IT_number 1
_space_group_name_Hall 'P 1'
loop_
_atom_site_label
_atom_site_fract_x
_atom_site_fract_y
_atom_site_fract_z
Li1 0.0619 0.3067 0.3741
Li2 0.1981 0.9395 0.1079
Li3 0.2481 0.2484 0.0026
Li4 0.3025 0.5602 0.8895
Li5 0.4341 0.1903 0.6258
Li6 0.5659 0.8097 0.3742
Li7 0.6975 0.4398 0.1105
Li8 0.7519 0.7516 0.9974
Li9 0.8019 0.0605 0.8921
Li10 0.9381 0.6933 0.6259
Mn1 0.1357 0.6221 0.2388
Mn2 0.3741 0.8799 0.7549
Mn3 0.6259 0.1201 0.2451
Mn4 0.8643 0.3779 0.7612
Co1 0.0000 0.0000 0.5000
Co2 0.5000 0.5000 0.5000
O1 0.0556 0.6448 0.4339
O2 0.0917 0.9796 0.3195
O3 0.1458 0.2561 0.1994
O4 0.2128 0.5905 0.0760
O5 0.2921 0.9136 0.9181
O6 0.3456 0.2416 0.8044
O7 0.3968 0.5196 0.6912
O8 0.4719 0.8623 0.5624
O9 0.5281 0.1377 0.4376
O10 0.6032 0.4804 0.3088
O11 0.6544 0.7584 0.1956
O12 0.7079 0.0864 0.0819
O13 0.7872 0.4095 0.9240
O14 0.8542 0.7439 0.8006
O15 0.9083 0.0204 0.6805
O16 0.9444 0.3552 0.5661
```

Peak list (10 most intense, 10° ≤ 2θ ≤ 80°, in order of rising 2θ)
2θ (°)	Rel. int.
17.9	9
18.5	100
19.0	14
36.2	25
36.5	12
43.7	31
44.1	60
63.1	8
63.8	8
64.5	9

Entry 3:
Starting from a crystal structure in the Materials Project, relaxed with PBE+U, the XRD peak list of Li7Mn2Co3O12 was computed for Cu Kα X-rays.
Peak positions follow from Bragg's law for the DFT cell and can differ from measured ones.

Structural model:
```
data_Li7Mn2Co3O12
_cell_length_a 5.1082
_cell_length_b 5.8433
_cell_length_c 7.7040
_cell_angle_alpha 78.94
_cell_angle_beta 77.99
_cell_angle_gamma 73.40
_space_group_name_H-M_alt 'P 1'
_space_group_IT_number 1
_space_group_name_Hall 'P 1'
loop_
_atom_site_label
_atom_site_fract_x
_atom_site_fract_y
_atom_site_fract_z
Li1 0.0000 0.0000 0.0000
Li2 0.0000 0.5000 0.0000
Li3 0.0027 0.3341 0.6636
Li4 0.0054 0.8326 0.6645
Li5 0.5000 0.5000 0.5000
Li6 0.9946 0.1674 0.3355
Li7 0.9973 0.6659 0.3364
Mn1 0.4922 0.1696 0.8312
Mn2 0.5078 0.8304 0.1688
Co1 0.4991 0.6653 0.8214
Co2 0.5000 0.0000 0.5000
Co3 0.5009 0.3347 0.1786
O1 0.2590 0.0072 0.7594
O2 0.2592 0.4851 0.7608
O3 0.2764 0.3130 0.4051
O4 0.2801 0.1518 0.0754
O5 0.2841 0.8428 0.4019
O6 0.2852 0.6698 0.0831
O7 0.7148 0.3302 0.9169
O8 0.7159 0.1572 0.5981
O9 0.7199 0.8482 0.9246
O10 0.7236 0.6870 0.5949
O11 0.7408 0.5149 0.2392
O12 0.7410 0.9928 0.2406
```

Peak list (10 most intense, 10° ≤ 2θ ≤ 80°, in order of rising 2θ)
2θ (°)	Rel. int.
18.4	100
36.1	40
43.6	28
43.8	56
47.6	8
57.7	10
63.0	15
63.5	7
63.7	8
64.0	8

Entry 4:
Starting from a crystal structure in the Materials Project, relaxed with PBE+U, the XRD peak list of Li4MnCo2O7 was computed for Cu Kα X-rays.
Peak positions follow from Bragg's law for the DFT cell and can differ from measured ones.

Structural model:
```
data_Li4MnCo2O7
_cell_length_a 5.0524
_cell_length_b 5.1191
_cell_length_c 10.4147
_cell_angle_alpha 85.00
_cell_angle_beta 76.58
_cell_angle_gamma 70.43
_space_group_name_H-M_alt 'P 1'
_space_group_IT_number 1
_space_group_name_Hall 'P 1'
loop_
_atom_site_label
_atom_site_fract_x
_atom_site_fract_y
_atom_site_fract_z
Li1 0.0000 0.0000 0.0000
Li2 0.0624 0.4992 0.8686
Li3 0.2131 0.4980 0.5703
Li4 0.3632 0.4975 0.2844
Li5 0.4936 0.5027 0.0029
Li6 0.6368 0.4980 0.7196
Li7 0.7921 0.4965 0.4270
Li8 0.9357 0.5032 0.1386
Mn1 0.1364 0.0003 0.7234
Mn2 0.4328 0.9937 0.1371
Co1 0.2874 0.9946 0.4289
Co2 0.5677 0.9996 0.8604
Co3 0.7100 0.0017 0.5706
Co4 0.8637 0.9984 0.2782
O1 0.0238 0.7665 0.4288
O2 0.1309 0.2230 0.2812
O3 0.1917 0.7677 0.1468
O4 0.2810 0.2252 0.0011
O5 0.3230 0.7751 0.8507
O6 0.3831 0.2210 0.7229
O7 0.4420 0.7708 0.5781
O8 0.5458 0.2321 0.4364
O9 0.5977 0.7682 0.2829
O10 0.6742 0.2215 0.1517
O11 0.7214 0.7706 0.0020
O12 0.8241 0.2214 0.8492
O13 0.8812 0.7835 0.7193
O14 0.9793 0.2247 0.5753
```

Peak list (10 most intense, 10° ≤ 2θ ≤ 80°, in order of rising 2θ)
2θ (°)	Rel. int.
18.4	100
36.1	27
36.6	12
43.6	56
44.3	27
48.0	8
57.4	9
63.1	8
63.4	15
64.3	8

Entry 5:
Starting from a crystal structure in the Materials Project, relaxed with PBE+U, the XRD peak list of Li4Mn3CoO8 was computed for Cu Kα X-rays.
Peak positions follow from Bragg's law for the DFT cell and can differ from measured ones.

Structural model:
```
data_Li4Mn3CoO8
_cell_length_a 5.0576
_cell_length_b 5.3669
_cell_length_c 6.1478
_cell_angle_alpha 69.16
_cell_angle_beta 86.34
_cell_angle_gamma 76.82
_space_group_name_H-M_alt 'P 1'
_space_group_IT_number 1
_space_group_name_Hall 'P 1'
loop_
_atom_site_label
_atom_site_fract_x
_atom_site_fract_y
_atom_site_fract_z
Li1 0.2458 0.4977 0.3745
Li2 0.2478 0.5067 0.8821
Li3 0.7522 0.4933 0.1179
Li4 0.7542 0.5023 0.6255
Mn1 0.0000 0.0000 0.0000
Mn2 0.4975 0.0052 0.2489
Mn3 0.5025 0.9948 0.7511
Co1 0.0000 0.0000 0.5000
O1 0.1316 0.2195 0.6954
O2 0.1408 0.2402 0.1942
O3 0.3604 0.7734 0.5434
O4 0.3652 0.7688 0.0467
O5 0.6348 0.2312 0.9533
O6 0.6396 0.2266 0.4566
O7 0.8592 0.7598 0.8058
O8 0.8684 0.7805 0.3046
```

Peak list (10 most intense, 10° ≤ 2θ ≤ 80°, in order of rising 2θ)
2θ (°)	Rel. int.
18.1	100
33.4	20
35.9	13
36.5	16
37.1	9
39.9	35
43.7	25
44.7	23
60.5	8
64.9	9

Entry 6:
Starting from a crystal structure in the Materials Project, relaxed with PBE+U, the XRD peak list of Li7Mn2Co3O12 was computed for Cu Kα X-rays.
Peak positions follow from Bragg's law for the DFT cell and can differ from measured ones.

Structural model:
```
data_Li7Mn2Co3O12
_cell_length_a 7.6094
_cell_length_b 7.6094
_cell_length_c 12.0044
_cell_angle_alpha 125.42
_cell_angle_beta 125.42
_cell_angle_gamma 22.92
_space_group_name_H-M_alt 'P 1'
_space_group_IT_number 1
_space_group_name_Hall 'P 1'
loop_
_atom_site_label
_atom_site_fract_x
_atom_site_fract_y
_atom_site_fract_z
Li1 0.0000 0.0000 0.0000
Li2 0.0028 0.0028 0.7586
Li3 0.3305 0.3305 0.2408
Li4 0.3396 0.3396 0.7639
Li5 0.6613 0.6613 0.2354
Li6 0.6697 0.6697 0.7588
Li7 0.9961 0.9961 0.2382
Mn1 0.6682 0.6682 0.4999
Mn2 0.9992 0.9992 0.5004
Co1 0.3319 0.3319 0.4975
Co2 0.3369 0.3369 0.9955
Co3 0.6630 0.6630 0.0033
O1 0.1596 0.1596 0.6123
O2 0.1667 0.1667 0.1155
O3 0.1729 0.1729 0.3823
O4 0.1805 0.1805 0.8918
O5 0.4823 0.4823 0.1156
O6 0.4934 0.4934 0.6134
O7 0.5067 0.5067 0.3879
O8 0.5178 0.5178 0.8836
O9 0.8191 0.8191 0.1073
O10 0.8270 0.8270 0.6138
O11 0.8328 0.8328 0.8829
O12 0.8405 0.8405 0.3860
```

Peak list (10 most intense, 10° ≤ 2θ ≤ 80°, in order of rising 2θ)
2θ (°)	Rel. int.
18.3	100
35.1	31
37.0	10
37.2	10
42.4	63
45.2	25
56.2	10
61.3	9
63.4	15
64.1	15